The following is a computed powder XRD pattern of LiDy3Ni8. It was derived from a PBE-relaxed structure, using copper Kα.

Atomic structure:
```
LiDy3Ni8
1.0
2.4929 1.4393 8.1513
-2.4929 1.4393 8.1513
0.0000 -2.8786 8.1513
Li Dy Ni
1 3 8
Direct
0.0000 0.0000 0.0000
0.1211 0.1211 0.1211
0.5075 0.5075 0.5075
0.6366 0.6366 0.6366
0.0685 0.0685 0.5676
0.0685 0.5676 0.0685
0.0713 0.5654 0.5654
0.3181 0.3181 0.3181
0.5654 0.0713 0.5654
0.5654 0.5654 0.0713
0.5676 0.0685 0.0685
0.8176 0.8176 0.8176
```

Most intense lines, 15 to 90 degrees two-theta, sorted by position:
- 20.9 deg, 4.252 Å, rel. 9
- 21.8 deg, 4.072 Å, rel. 9
- 27.6 deg, 3.237 Å, rel. 10
- 33.0 deg, 2.716 Å, rel. 10
- 36.0 deg, 2.494 Å, rel. 50
- 42.5 deg, 2.127 Å, rel. 100
- 44.5 deg, 2.036 Å, rel. 24
- 64.7 deg, 1.440 Å, rel. 16
- 69.2 deg, 1.357 Å, rel. 28
- 76.4 deg, 1.247 Å, rel. 21



The following is a computed powder XRD pattern of Pu3TcPb. It was derived from a PBE-relaxed structure, using copper Kα.

Atomic structure:
```
Pu3TcPb
1.0
9.5178 0.0000 0.0000
0.0000 3.2586 0.0000
0.0000 0.0000 7.9829
Pu Tc Pb
6 2 2
Direct
0.0380 0.0000 0.2047
0.2500 0.0000 0.5542
0.4620 0.0000 0.2047
0.5380 0.0000 0.7953
0.7500 0.0000 0.4458
0.9620 0.0000 0.7953
0.0000 0.5000 0.5000
0.5000 0.5000 0.5000
0.2500 0.5000 0.9370
0.7500 0.5000 0.0630
```

Most intense lines, 15 to 90 degrees two-theta, sorted by position:
- 27.4 deg, 3.259 Å, rel. 19
- 29.2 deg, 3.058 Å, rel. 68
- 30.3 deg, 2.948 Å, rel. 38
- 35.0 deg, 2.563 Å, rel. 28
- 35.2 deg, 2.548 Å, rel. 100
- 35.6 deg, 2.524 Å, rel. 26
- 36.8 deg, 2.440 Å, rel. 28
- 37.8 deg, 2.379 Å, rel. 34
- 40.5 deg, 2.230 Å, rel. 42
- 61.9 deg, 1.500 Å, rel. 26



The following is a computed powder XRD pattern of Hf4In3Hg. It was derived from a PBE-relaxed structure, using copper Kα.

Atomic structure:
```
Hf4In3Hg
1.0
8.8164 0.0000 0.0000
0.0000 6.2861 0.0000
0.0000 0.0000 6.3272
Hf In Hg
8 6 2
Direct
0.0000 0.0000 0.0000
0.0000 0.5000 0.0000
0.2500 0.2485 0.2500
0.2500 0.7515 0.7500
0.5000 0.0000 0.5000
0.5000 0.5000 0.5000
0.7500 0.2485 0.2500
0.7500 0.7515 0.7500
0.0000 0.0000 0.5000
0.2500 0.2522 0.7500
0.2500 0.7478 0.2500
0.5000 0.0000 0.0000
0.7500 0.2522 0.7500
0.7500 0.7478 0.2500
0.0000 0.5000 0.5000
0.5000 0.5000 0.0000
```

Most intense lines, 15 to 90 degrees two-theta, sorted by position:
- 34.9 deg, 2.570 Å, rel. 100
- 35.1 deg, 2.559 Å, rel. 99
- 40.5 deg, 2.230 Å, rel. 67
- 40.9 deg, 2.204 Å, rel. 32
- 58.3 deg, 1.582 Å, rel. 11
- 58.9 deg, 1.568 Å, rel. 44
- 69.9 deg, 1.346 Å, rel. 26
- 70.2 deg, 1.341 Å, rel. 26
- 70.7 deg, 1.332 Å, rel. 26
- 73.7 deg, 1.285 Å, rel. 11



The following is a computed powder XRD pattern of Th3Sb4Pd3. It was derived from a PBE-relaxed structure, using copper Kα.

Atomic structure:
```
Th3Sb4Pd3
1.0
-4.9648 4.9648 4.9648
4.9648 -4.9648 4.9648
4.9648 4.9648 -4.9648
Th Sb Pd
6 8 6
Direct
0.1250 0.8750 0.2500
0.2500 0.1250 0.8750
0.3750 0.6250 0.7500
0.6250 0.7500 0.3750
0.7500 0.3750 0.6250
0.8750 0.2500 0.1250
0.0000 0.1705 0.5000
0.0000 0.6705 0.5000
0.1705 0.5000 0.0000
0.3295 0.3295 0.3295
0.5000 0.0000 0.1705
0.5000 0.0000 0.6705
0.6705 0.5000 0.0000
0.8295 0.8295 0.8295
0.1250 0.7500 0.8750
0.2500 0.6250 0.3750
0.3750 0.2500 0.6250
0.6250 0.3750 0.2500
0.7500 0.8750 0.1250
0.8750 0.1250 0.7500
```

Most intense lines, 15 to 90 degrees two-theta, sorted by position:
- 21.9 deg, 4.054 Å, rel. 12
- 28.4 deg, 3.140 Å, rel. 37
- 33.8 deg, 2.654 Å, rel. 100
- 40.6 deg, 2.220 Å, rel. 48
- 42.7 deg, 2.117 Å, rel. 12
- 44.7 deg, 2.027 Å, rel. 14
- 50.3 deg, 1.813 Å, rel. 14
- 57.2 deg, 1.611 Å, rel. 17
- 58.8 deg, 1.570 Å, rel. 12
- 69.6 deg, 1.351 Å, rel. 14



The following is a computed powder XRD pattern of SbPS4. It was derived from a PBE-relaxed structure, using copper Kα.

Atomic structure:
```
SbPS4
1.0
3.5258 -4.6601 0.0000
3.5258 4.6601 0.0000
0.0000 0.0000 10.0250
Sb P S
2 2 8
Direct
0.2344 0.2344 0.0000
0.7656 0.7656 0.5000
0.2352 0.7648 0.7500
0.7648 0.2352 0.2500
0.1219 0.3762 0.2491
0.3298 0.6289 0.5713
0.3711 0.6702 0.9287
0.3762 0.1219 0.7509
0.6238 0.8781 0.2509
0.6289 0.3298 0.4287
0.6702 0.3711 0.0713
0.8781 0.6238 0.7491
```

Most intense lines, 15 to 90 degrees two-theta, sorted by position:
- 18.1 deg, 4.904 Å, rel. 100
- 26.1 deg, 3.413 Å, rel. 24
- 31.1 deg, 2.873 Å, rel. 22
- 31.8 deg, 2.812 Å, rel. 20
- 32.7 deg, 2.735 Å, rel. 23
- 33.0 deg, 2.716 Å, rel. 12
- 35.8 deg, 2.506 Å, rel. 11
- 40.6 deg, 2.222 Å, rel. 14
- 41.7 deg, 2.165 Å, rel. 12
- 50.3 deg, 1.812 Å, rel. 23



The following is a computed powder XRD pattern of Cs2Rb6Cd. It was derived from a PBE-relaxed structure, using copper Kα.

Atomic structure:
```
Cs2Rb6Cd
1.0
5.3943 0.0000 0.0000
0.0000 11.7861 6.1715
0.0000 -11.7861 6.1715
Cs Rb Cd
2 6 1
Direct
0.0000 0.1855 0.8145
0.0000 0.8145 0.1855
0.0000 0.2671 0.4685
0.0000 0.4685 0.2671
0.0000 0.7379 0.7379
0.5000 0.0917 0.0917
0.5000 0.5078 0.8205
0.5000 0.8205 0.5078
0.5000 0.5021 0.5021
```

Most intense lines, 15 to 90 degrees two-theta, sorted by position:
- 20.2 deg, 4.404 Å, rel. 40
- 21.2 deg, 4.184 Å, rel. 100
- 21.9 deg, 4.058 Å, rel. 73
- 23.2 deg, 3.840 Å, rel. 100
- 24.4 deg, 3.645 Å, rel. 72
- 26.1 deg, 3.412 Å, rel. 77
- 26.7 deg, 3.344 Å, rel. 40
- 27.5 deg, 3.243 Å, rel. 35
- 33.2 deg, 2.697 Å, rel. 38
- 37.7 deg, 2.385 Å, rel. 35



The following is a computed powder XRD pattern of K2BaTc2O7. It was derived from a PBE-relaxed structure, using copper Kα.

Atomic structure:
```
K2BaTc2O7
1.0
-1.9590 9.4284 2.8130
1.9590 -9.4284 2.8130
1.9590 9.4284 -2.8130
K Ba Tc O
2 1 2 7
Direct
0.2199 0.0000 0.2199
0.7801 0.0000 0.7801
0.0454 0.5454 0.5000
0.4578 0.5520 0.9058
0.6462 0.5520 0.0942
0.2788 0.4675 0.8113
0.3901 0.3901 0.0000
0.4463 0.0372 0.4091
0.6281 0.0372 0.5909
0.6562 0.4675 0.1887
0.7971 0.8819 0.9152
0.9667 0.8819 0.0848
```

Most intense lines, 15 to 90 degrees two-theta, sorted by position:
- 21.2 deg, 4.192 Å, rel. 33
- 26.8 deg, 3.325 Å, rel. 41
- 27.7 deg, 3.215 Å, rel. 43
- 28.5 deg, 3.133 Å, rel. 100
- 29.4 deg, 3.043 Å, rel. 76
- 31.8 deg, 2.813 Å, rel. 50
- 40.6 deg, 2.220 Å, rel. 26
- 42.1 deg, 2.148 Å, rel. 24
- 46.3 deg, 1.959 Å, rel. 23
- 55.3 deg, 1.661 Å, rel. 28



The following is a computed powder XRD pattern of RbHgTeAu. It was derived from a PBE-relaxed structure, using copper Kα.

Atomic structure:
```
RbHgTeAu
1.0
4.7299 0.0000 0.0000
0.0000 4.7299 0.0000
0.0000 0.0000 12.8027
Rb Hg Te Au
2 2 2 2
Direct
0.2500 0.2500 0.1986
0.7500 0.7500 0.8014
0.2500 0.7500 0.5000
0.7500 0.2500 0.5000
0.2500 0.2500 0.6411
0.7500 0.7500 0.3589
0.2500 0.7500 0.0000
0.7500 0.2500 0.0000
```

Most intense lines, 15 to 90 degrees two-theta, sorted by position:
- 23.4 deg, 3.804 Å, rel. 24
- 27.9 deg, 3.201 Å, rel. 12
- 30.1 deg, 2.964 Å, rel. 100
- 38.0 deg, 2.365 Å, rel. 41
- 38.9 deg, 2.312 Å, rel. 50
- 40.7 deg, 2.218 Å, rel. 17
- 54.9 deg, 1.672 Å, rel. 14
- 58.2 deg, 1.584 Å, rel. 16
- 63.9 deg, 1.456 Å, rel. 24
- 69.3 deg, 1.355 Å, rel. 19



The following is a computed powder XRD pattern of Cu4PdPt3. It was derived from a PBE-relaxed structure, using copper Kα.

Atomic structure:
```
Cu4PdPt3
1.0
5.1739 0.0000 0.0000
0.0000 8.9735 0.0000
0.0000 0.0000 5.0355
Cu Pd Pt
8 2 6
Direct
0.0000 0.2462 0.0000
0.0000 0.7538 0.0000
0.2493 0.0000 0.7612
0.2507 0.5000 0.2612
0.5000 0.2538 0.5000
0.5000 0.7462 0.5000
0.7493 0.5000 0.2612
0.7507 0.0000 0.7612
0.0000 0.5000 0.7890
0.5000 0.0000 0.2890
0.0000 0.0000 0.2364
0.0000 0.2527 0.5007
0.0000 0.7473 0.5007
0.5000 0.2473 0.0007
0.5000 0.5000 0.7364
0.5000 0.7527 0.0007
```

Most intense lines, 15 to 90 degrees two-theta, sorted by position:
- 24.7 deg, 3.609 Å, rel. 19
- 31.8 deg, 2.812 Å, rel. 39
- 34.7 deg, 2.587 Å, rel. 42
- 40.2 deg, 2.243 Å, rel. 68
- 40.5 deg, 2.229 Å, rel. 43
- 41.1 deg, 2.196 Å, rel. 100
- 50.0 deg, 1.824 Å, rel. 23
- 54.1 deg, 1.695 Å, rel. 23
- 54.8 deg, 1.674 Å, rel. 43
- 87.5 deg, 1.114 Å, rel. 22



The following is a computed powder XRD pattern of Sm5Dy2Y. It was derived from a PBE-relaxed structure, using copper Kα.

Atomic structure:
```
Sm5Dy2Y
1.0
6.8373 0.0000 0.0000
2.9222 8.8494 0.0000
2.9375 -0.2213 8.8452
Sm Dy Y
10 4 2
Direct
0.0003 0.1661 0.0845
0.9997 0.8339 0.9155
0.2475 0.4599 0.0440
0.2502 0.7938 0.2094
0.4981 0.0862 0.1692
0.4993 0.4180 0.3355
0.5007 0.5820 0.6645
0.5019 0.9138 0.8308
0.7498 0.2062 0.7906
0.7525 0.5401 0.9560
0.0008 0.6666 0.5821
0.2503 0.9577 0.5402
0.7497 0.0423 0.4598
0.9992 0.3334 0.4179
0.2498 0.2896 0.7061
0.7502 0.7104 0.2939
```

Most intense lines, 15 to 90 degrees two-theta, sorted by position:
- 28.2 deg, 3.166 Å, rel. 24
- 31.0 deg, 2.889 Å, rel. 25
- 32.2 deg, 2.777 Å, rel. 100
- 42.3 deg, 2.134 Å, rel. 16
- 49.9 deg, 1.828 Å, rel. 20
- 55.9 deg, 1.646 Å, rel. 21
- 59.9 deg, 1.545 Å, rel. 23
- 60.6 deg, 1.527 Å, rel. 16
- 78.1 deg, 1.223 Å, rel. 6
- 82.3 deg, 1.172 Å, rel. 10



The following is a computed powder XRD pattern of KHg2Pb6. It was derived from a PBE-relaxed structure, using copper Kα.

Atomic structure:
```
KHg2Pb6
1.0
4.9782 0.0000 0.0000
0.0000 4.9782 0.0000
0.0000 0.0000 11.8864
K Hg Pb
1 2 6
Direct
0.0000 0.0000 0.0000
0.5000 0.5000 0.1201
0.5000 0.5000 0.8799
0.0000 0.0000 0.5000
0.0000 0.5000 0.2902
0.0000 0.5000 0.7098
0.5000 0.0000 0.2902
0.5000 0.0000 0.7098
0.5000 0.5000 0.5000
```

Most intense lines, 15 to 90 degrees two-theta, sorted by position:
- 17.8 deg, 4.978 Å, rel. 15
- 29.5 deg, 3.029 Å, rel. 100
- 34.1 deg, 2.632 Å, rel. 69
- 36.1 deg, 2.489 Å, rel. 58
- 37.8 deg, 2.377 Å, rel. 20
- 52.0 deg, 1.760 Å, rel. 21
- 53.3 deg, 1.719 Å, rel. 31
- 60.9 deg, 1.522 Å, rel. 27
- 63.6 deg, 1.463 Å, rel. 24
- 66.0 deg, 1.415 Å, rel. 16



The following is a computed powder XRD pattern of Pr2SiTcC. It was derived from a PBE-relaxed structure, using copper Kα.

Atomic structure:
```
Pr2SiTcC
1.0
6.3904 0.0000 0.0000
0.0000 4.2290 0.0000
-2.9595 0.0000 8.3351
Pr Si Tc C
4 2 2 2
Direct
0.2123 0.2500 0.3845
0.2301 0.2500 0.9754
0.7699 0.7500 0.0246
0.7877 0.7500 0.6155
0.3128 0.7500 0.7012
0.6872 0.2500 0.2988
0.4991 0.2500 0.7427
0.5009 0.7500 0.2573
0.1933 0.7500 0.1726
0.8067 0.2500 0.8274
```

Most intense lines, 15 to 90 degrees two-theta, sorted by position:
- 25.7 deg, 3.461 Å, rel. 91
- 29.7 deg, 3.011 Å, rel. 20
- 29.8 deg, 2.993 Å, rel. 66
- 30.1 deg, 2.968 Å, rel. 42
- 30.2 deg, 2.956 Å, rel. 100
- 32.2 deg, 2.778 Å, rel. 24
- 37.4 deg, 2.404 Å, rel. 42
- 41.1 deg, 2.196 Å, rel. 18
- 42.8 deg, 2.114 Å, rel. 36
- 53.3 deg, 1.720 Å, rel. 20